[1]
Diffraction record for Zr6Tl3Pd. The PXRD pattern is theoretical, not measured: it uses a GGA-PBE-relaxed structure and Cu Kα (λ = 1.5418 Å).
Intensities are scaled so that the largest is 100.

Principal peaks in the range 2θ = 10–80°, in order of rising 2θ:
| two_theta | Rel. int. |
| --- | --- |
| 17.67 | 67.0 |
| 22.64 | 37.6 |
| 31.59 | 45.9 |
| 33.62 | 87.2 |
| 35.39 | 47.6 |
| 35.89 | 100.0 |
| 35.99 | 79.4 |
| 36.49 | 53.7 |
| 37.20 | 77.7 |
| 39.44 | 66.4 |
| 39.87 | 34.8 |
| 65.96 | 33.5 |

Structural model:
Unit cell a=10.509 b=5.810 c=7.985 alpha=90.00 beta=107.67 gamma=90.00
Space group C2/m (No. 12)
Symmetry-distinct sites (fractional):
Zr: 0.133 0.000 0.428 (multiplicity 4)
Zr: 0.144 0.246 0.819 (multiplicity 8)
Tl: 0.000 0.500 0.500 (multiplicity 2)
Tl: 0.118 0.500 0.196 (multiplicity 4)
Pd: 0.000 0.000 0.000 (multiplicity 2)

[2]
Diffraction record for La6CeDy2. The PXRD pattern is theoretical, not measured: it uses a GGA-PBE-relaxed structure and Cu Kα (λ = 1.5418 Å).
Intensities are scaled so that the largest is 100.

Principal peaks in the range 2θ = 10–80°, in order of rising 2θ:
| two_theta | Rel. int. |
| --- | --- |
| 28.22 | 44.2 |
| 29.22 | 46.3 |
| 29.89 | 12.9 |
| 31.13 | 57.4 |
| 32.66 | 100.0 |
| 34.46 | 10.9 |
| 41.07 | 28.0 |
| 49.96 | 35.9 |
| 55.03 | 31.6 |
| 58.93 | 38.2 |
| 60.97 | 18.1 |
| 77.49 | 11.5 |

Structural model:
Unit cell a=3.6514 b=3.6514 c=27.5047 alpha=90.00 beta=90.00 gamma=120.00
Space group P-6m2 (No. 187)
Symmetry-distinct sites (fractional):
La: 0.0000 0.0000 0.0666 (multiplicity 2)
La: 0.0000 0.0000 0.2784 (multiplicity 2)
La: 0.3333 0.6667 0.3957 (multiplicity 2)
Ce: 0.0000 0.0000 0.5000 (multiplicity 1)
Dy: 0.3333 0.6667 0.1714 (multiplicity 2)

[3]
Diffraction record for Er2Zn12InCu3. The PXRD pattern is theoretical, not measured: it uses a GGA-PBE-relaxed structure and Cu Kα (λ = 1.5418 Å).
Intensities are scaled so that the largest is 100.

Principal peaks in the range 2θ = 10–80°, in order of rising 2θ:
| two_theta | Rel. int. |
| --- | --- |
| 13.06 | 34.5 |
| 25.06 | 48.4 |
| 25.35 | 82.2 |
| 33.78 | 54.6 |
| 34.09 | 94.0 |
| 34.44 | 54.8 |
| 34.95 | 50.8 |
| 40.28 | 38.9 |
| 43.38 | 100.0 |
| 46.91 | 35.9 |
| 51.22 | 39.0 |
| 73.81 | 31.3 |

Structural model:
Unit cell a=8.3440 b=8.3440 c=19.5444 alpha=90.00 beta=90.00 gamma=120.00
Space group R-3m (No. 166, hexagonal axes)
Symmetry-distinct sites (fractional):
Er: 0.0000 0.0000 0.0880 (multiplicity 6)
Zn: 0.0170 0.5085 0.3380 (multiplicity 18)
Zn: 0.1036 0.5518 0.8817 (multiplicity 18)
In: 0.0000 0.0000 0.5000 (multiplicity 3)
Cu: 0.0000 0.5000 0.0000 (multiplicity 9)

[4]
Diffraction record for KZrSe2O8. The PXRD pattern is theoretical, not measured: it uses a GGA-PBE-relaxed structure and Cu Kα (λ = 1.5418 Å).
Intensities are scaled so that the largest is 100.

Principal peaks in the range 2θ = 10–80°, in order of rising 2θ:
| two_theta | Rel. int. |
| --- | --- |
| 10.84 | 94.3 |
| 19.77 | 24.7 |
| 20.97 | 96.7 |
| 21.40 | 31.2 |
| 22.18 | 18.4 |
| 23.00 | 68.9 |
| 28.16 | 100.0 |
| 28.81 | 41.7 |
| 30.69 | 45.7 |
| 33.65 | 64.2 |
| 38.21 | 22.9 |
| 55.68 | 21.4 |

Structural model:
Unit cell a=8.991 b=5.827 c=8.172 alpha=90.00 beta=92.41 gamma=90.00
Space group C2/m (No. 12)
Symmetry-distinct sites (fractional):
K: 0.000 0.000 0.000 (multiplicity 2)
Zr: 0.000 0.000 0.500 (multiplicity 2)
Se: 0.133 0.500 0.289 (multiplicity 4)
O: 0.027 0.248 0.311 (multiplicity 8)
O: 0.199 0.500 0.104 (multiplicity 4)
O: 0.231 0.000 0.554 (multiplicity 4)

[5]
Diffraction record for Nd12Al6Zn. The PXRD pattern is theoretical, not measured: it uses a GGA-PBE-relaxed structure and Cu Kα (λ = 1.5418 Å).
Intensities are scaled so that the largest is 100.

Principal peaks in the range 2θ = 10–80°, in order of rising 2θ:
| two_theta | Rel. int. |
| --- | --- |
| 10.98 | 19.5 |
| 16.82 | 13.7 |
| 24.65 | 18.0 |
| 26.32 | 15.0 |
| 30.66 | 84.1 |
| 30.77 | 42.9 |
| 33.33 | 100.0 |
| 33.96 | 43.7 |
| 36.38 | 26.8 |
| 53.65 | 22.7 |
| 60.32 | 16.9 |
| 64.33 | 13.5 |

Structural model:
Unit cell a=12.5100 b=12.5100 c=12.0663 alpha=90.00 beta=90.00 gamma=120.00
Space group R-3 (No. 148, hexagonal axes)
Symmetry-distinct sites (fractional):
Nd: 0.0367 0.5620 0.1297 (multiplicity 18)
Nd: 0.0904 0.1962 0.7517 (multiplicity 18)
Al: 0.0123 0.7879 0.0080 (multiplicity 18)
Zn: 0.0000 0.0000 0.5000 (multiplicity 3)

[6]
Diffraction record for CePu4Ga5. The PXRD pattern is theoretical, not measured: it uses a GGA-PBE-relaxed structure and Cu Kα (λ = 1.5418 Å).
Intensities are scaled so that the largest is 100.

Principal peaks in the range 2θ = 10–80°, in order of rising 2θ:
| two_theta | Rel. int. |
| --- | --- |
| 22.69 | 45.6 |
| 30.82 | 10.8 |
| 32.30 | 80.7 |
| 38.61 | 100.0 |
| 45.25 | 15.8 |
| 46.33 | 30.0 |
| 52.19 | 10.6 |
| 56.68 | 8.4 |
| 61.84 | 51.0 |
| 67.61 | 9.8 |
| 73.71 | 15.2 |
| 76.93 | 13.6 |

Structural model:
Unit cell a=3.919 b=3.919 c=14.507 alpha=90.00 beta=90.00 gamma=90.00
Space group P4/mmm (No. 123)
Symmetry-distinct sites (fractional):
Ce: 0.000 0.000 0.000 (multiplicity 1)
Pu: 0.000 0.000 0.199 (multiplicity 2)
Pu: 0.000 0.000 0.401 (multiplicity 2)
Ga: 0.500 0.500 0.104 (multiplicity 2)
Ga: 0.500 0.500 0.300 (multiplicity 2)
Ga: 0.500 0.500 0.500 (multiplicity 1)

[7]
Diffraction record for Dy4HoTm4. The PXRD pattern is theoretical, not measured: it uses a GGA-PBE-relaxed structure and Cu Kα (λ = 1.5418 Å).
Intensities are scaled so that the largest is 100.

Principal peaks in the range 2θ = 10–80°, in order of rising 2θ:
| two_theta | Rel. int. |
| --- | --- |
| 31.22 | 100.0 |
| 36.17 | 33.8 |
| 36.28 | 16.8 |
| 52.14 | 35.9 |
| 61.99 | 28.5 |
| 62.13 | 14.1 |
| 65.13 | 12.3 |
| 76.77 | 3.8 |
| 77.02 | 1.9 |

Structural model:
Unit cell a=10.535 b=10.535 c=4.952 alpha=90.00 beta=90.00 gamma=90.00
Space group I4/mmm (No. 139)
Symmetry-distinct sites (fractional):
Dy: 0.000 0.332 0.000 (multiplicity 8)
Ho: 0.000 0.000 0.000 (multiplicity 2)
Tm: 0.166 0.166 0.500 (multiplicity 8)

[8]
Diffraction record for Ca9Pb3O2. The PXRD pattern is theoretical, not measured: it uses a GGA-PBE-relaxed structure and Cu Kα (λ = 1.5418 Å).
Intensities are scaled so that the largest is 100.

Principal peaks in the range 2θ = 10–80°, in order of rising 2θ:
| two_theta | Rel. int. |
| --- | --- |
| 17.93 | 58.8 |
| 25.46 | 72.6 |
| 31.31 | 100.0 |
| 36.31 | 57.4 |
| 40.78 | 34.0 |
| 44.87 | 33.6 |
| 52.29 | 39.0 |
| 55.73 | 18.2 |
| 59.04 | 15.4 |
| 62.23 | 40.8 |
| 65.33 | 13.0 |
| 71.32 | 18.0 |

Structural model:
Unit cell a=6.9970 b=6.9970 c=8.5718 alpha=90.00 beta=90.00 gamma=120.00
Space group P-3m1 (No. 164)
Symmetry-distinct sites (fractional):
Ca: 0.0000 0.5000 0.0000 (multiplicity 3)
Ca: 0.1707 0.3414 0.6725 (multiplicity 6)
Pb: 0.0000 0.0000 0.0000 (multiplicity 1)
Pb: 0.3333 0.6667 0.3331 (multiplicity 2)
O: 0.3333 0.6667 0.8360 (multiplicity 2)